(1)
# UTc2P2Os
Simulated X-ray powder pattern, Cu Kα, 1.54184 Å. Input: the PBE geometry in Alexandria.

Crystal structure
```
UTc2P2Os
1.0
3.938 0.000 0.000
0.000 6.937 0.000
0.000 0.000 6.795
U Tc P Os
2 4 4 2
Direct
0.000 0.105 0.000 U
0.000 0.895 0.500 U
0.000 0.320 0.383 Tc
0.000 0.680 0.883 Tc
0.500 0.406 0.076 Tc
0.500 0.594 0.576 Tc
0.000 0.397 0.714 P
0.000 0.603 0.214 P
0.500 0.141 0.308 P
0.500 0.859 0.808 P
0.500 0.194 0.686 Os
0.500 0.806 0.186 Os
```

Main lines, sorted by position (10° ≤ 2θ ≤ 90°):
2θ/deg	intensity
12.76	17
28.90	20
29.21	34
34.88	50
36.99	100
37.28	46
41.24	23
41.96	34
46.10	30
47.53	15
47.98	14
64.09	19



(2)
# TlPOs2
Simulated X-ray powder pattern, Cu Kα, 1.54184 Å. Input: the PBE geometry in Alexandria.

Crystal structure
```
TlPOs2
1.0
3.015 0.000 0.000
0.000 3.088 0.000
0.000 0.000 14.420
Tl P Os
2 2 4
Direct
0.000 0.000 0.000 Tl
0.500 0.500 0.500 Tl
0.000 0.500 0.758 P
0.500 0.000 0.258 P
0.000 0.000 0.640 Os
0.000 0.500 0.328 Os
0.500 0.000 0.828 Os
0.500 0.500 0.140 Os
```

Main lines, sorted by position (10° ≤ 2θ ≤ 90°):
2θ/deg	intensity
29.58	54
34.52	15
35.14	100
37.42	34
42.91	50
43.80	74
49.22	17
59.90	13
66.03	13
67.74	26
71.38	26
77.92	18



(3)
# Pa5Os2
Simulated X-ray powder pattern, Cu Kα, 1.54184 Å. Input: the PBE geometry in Alexandria.

Crystal structure
```
Pa5Os2
1.0
8.150 -3.026 0.000
8.150 3.026 0.000
-0.991 0.000 6.843
Pa Os
10 4
Direct
0.101 0.344 0.330 Pa
0.119 0.881 0.750 Pa
0.300 0.513 0.069 Pa
0.344 0.101 0.830 Pa
0.487 0.700 0.431 Pa
0.513 0.300 0.569 Pa
0.656 0.899 0.170 Pa
0.700 0.487 0.931 Pa
0.881 0.119 0.250 Pa
0.899 0.656 0.670 Pa
0.065 0.721 0.401 Os
0.279 0.935 0.099 Os
0.721 0.065 0.901 Os
0.935 0.279 0.599 Os
```

Main lines, sorted by position (10° ≤ 2θ ≤ 90°):
2θ/deg	intensity
31.42	48
32.35	51
32.50	100
33.32	26
33.62	38
34.88	69
35.65	46
36.26	49
36.80	36
38.36	56
39.55	33
41.95	70



(4)
# Pa2Os2Pt
Simulated X-ray powder pattern, Cu Kα, 1.54184 Å. Input: the PBE geometry in Alexandria.

Crystal structure
```
Pa2Os2Pt
1.0
4.044 0.000 0.000
0.000 6.563 0.000
0.000 0.000 7.614
Pa Os Pt
4 4 2
Direct
0.000 0.000 0.222 Pa
0.000 0.000 0.778 Pa
0.500 0.500 0.278 Pa
0.500 0.500 0.722 Pa
0.000 0.299 0.500 Os
0.000 0.701 0.500 Os
0.500 0.201 0.000 Os
0.500 0.799 0.000 Os
0.000 0.500 0.000 Pt
0.500 0.000 0.500 Pt
```

Main lines, sorted by position (10° ≤ 2θ ≤ 90°):
2θ/deg	intensity
35.14	100
36.14	25
37.21	54
44.82	25
47.24	13
47.78	17
55.45	13
58.87	13
67.59	12
72.28	17
73.95	11
81.06	17



(5)
# PaOs2Pt
Simulated X-ray powder pattern, Cu Kα, 1.54184 Å. Input: the PBE geometry in Alexandria.

Crystal structure
```
PaOs2Pt
1.0
4.663 0.000 0.000
-2.331 4.038 0.000
0.000 0.000 12.969
Pa Os Pt
3 6 3
Direct
0.000 0.000 0.000 Pa
0.333 0.667 0.667 Pa
0.667 0.333 0.333 Pa
0.000 0.000 0.187 Os
0.000 0.000 0.813 Os
0.333 0.667 0.479 Os
0.333 0.667 0.854 Os
0.667 0.333 0.146 Os
0.667 0.333 0.521 Os
0.000 0.000 0.500 Pt
0.333 0.667 0.167 Pt
0.667 0.333 0.833 Pt
```

Main lines, sorted by position (10° ≤ 2θ ≤ 90°):
2θ/deg	intensity
20.55	26
23.07	19
35.51	35
38.62	100
41.37	19
41.79	20
44.13	21
53.46	11
58.20	46
69.88	18
82.80	12
84.86	16



(6)
# Pa4Os3Pt
Simulated X-ray powder pattern, Cu Kα, 1.54184 Å. Input: the PBE geometry in Alexandria.

Crystal structure
```
Pa4Os3Pt
1.0
9.196 0.000 0.000
0.000 10.761 0.000
-0.012 0.000 3.223
Pa Os Pt
8 6 2
Direct
0.000 0.000 0.000 Pa
0.000 0.489 0.000 Pa
0.245 0.186 0.999 Pa
0.255 0.686 0.001 Pa
0.500 0.500 0.000 Pa
0.500 0.989 0.000 Pa
0.745 0.686 0.999 Pa
0.755 0.186 0.001 Pa
0.000 0.253 0.500 Os
0.250 0.431 0.500 Os
0.250 0.931 0.500 Os
0.500 0.753 0.500 Os
0.750 0.431 0.500 Os
0.750 0.931 0.500 Os
0.000 0.755 0.500 Pt
0.500 0.255 0.500 Pt
```

Main lines, sorted by position (10° ≤ 2θ ≤ 90°):
2θ/deg	intensity
32.38	28
33.30	39
37.92	100
38.03	99
38.78	59
39.18	54
52.34	22
57.16	19
58.93	29
70.10	17
71.32	20
73.33	17



(7)
# PaSi2Os2Pt
Simulated X-ray powder pattern, Cu Kα, 1.54184 Å. Input: the PBE geometry in Alexandria.

Crystal structure
```
PaSi2Os2Pt
1.0
4.552 0.000 0.000
0.000 4.552 0.000
0.000 0.000 5.342
Pa Si Os Pt
1 2 2 1
Direct
0.000 0.000 0.000 Pa
0.000 0.500 0.500 Si
0.500 0.000 0.500 Si
0.500 0.500 0.236 Os
0.500 0.500 0.764 Os
0.000 0.000 0.500 Pt
```

Main lines, sorted by position (10° ≤ 2θ ≤ 90°):
2θ/deg	intensity
27.71	100
39.10	94
39.60	53
56.87	64
57.24	18
64.76	19
70.52	5
71.51	16
77.36	11
84.03	12
84.97	21
85.29	6



(8)
# Pa3OsRh2
Simulated X-ray powder pattern, Cu Kα, 1.54184 Å. Input: the PBE geometry in Alexandria.

Crystal structure
```
Pa3OsRh2
1.0
5.682 0.000 0.000
0.000 15.448 0.000
-4.403 0.000 5.575
Pa Os Rh
12 4 8
Direct
0.231 0.061 0.341 Pa
0.231 0.439 0.841 Pa
0.248 0.739 0.384 Pa
0.248 0.761 0.884 Pa
0.266 0.064 0.867 Pa
0.266 0.436 0.367 Pa
0.734 0.564 0.633 Pa
0.734 0.936 0.133 Pa
0.752 0.239 0.116 Pa
0.752 0.261 0.616 Pa
0.769 0.561 0.159 Pa
0.769 0.939 0.659 Pa
0.259 0.607 0.661 Os
0.259 0.893 0.161 Os
0.741 0.107 0.839 Os
0.741 0.393 0.339 Os
0.243 0.608 0.095 Rh
0.243 0.892 0.595 Rh
0.251 0.248 0.112 Rh
0.251 0.252 0.612 Rh
0.749 0.748 0.388 Rh
0.749 0.752 0.888 Rh
0.757 0.108 0.405 Rh
0.757 0.392 0.905 Rh
```

Main lines, sorted by position (10° ≤ 2θ ≤ 90°):
2θ/deg	intensity
26.44	17
34.30	16
34.85	41
35.34	17
36.66	98
36.85	100
40.45	47
45.88	18
51.45	18
54.44	23
63.66	16
71.32	18